1.
Calculated X-ray powder pattern
Compound: SmTlGe2Cl8
Radiation: Cu Kα X-rays
Structure: the PBE geometry in Alexandria
No peak broadening, texture or thermal motion is included.

Main lines, low angle first (2θ from 5° to 70°):
6.884 Å, I = 36; 4.823 Å, I = 100; 4.518 Å, I = 92; 3.916 Å, I = 30; 3.726 Å, I = 50; 3.685 Å, I = 32; 3.666 Å, I = 53; 3.112 Å, I = 33; 2.529 Å, I = 53; 2.106 Å, I = 38

Crystal structure
Cell lengths 6.354, 6.915, 9.120 Å; angles 86.14, 88.76, 86.16 degrees
Positions (direct):
Sm (0.000, 0.000, 0.000)
Tl (0.000, 0.000, 0.500)
Ge (0.463, 0.456, 0.762)
Ge (0.537, 0.544, 0.238)
Cl (0.219, 0.812, 0.791)
Cl (0.246, 0.318, 0.963)
Cl (0.267, 0.858, 0.218)
Cl (0.275, 0.360, 0.570)
Cl (0.725, 0.640, 0.430)
Cl (0.733, 0.142, 0.782)
Cl (0.754, 0.682, 0.037)
Cl (0.781, 0.188, 0.209)

2.
Calculated X-ray powder pattern
Compound: Sr2PF
Radiation: Cu Kα X-rays
Structure: the PBE geometry in Alexandria
No peak broadening, texture or thermal motion is included.

Main lines, low angle first (2θ from 5° to 70°):
3.538 Å, I = 100; 3.514 Å, I = 66; 3.163 Å, I = 90; 3.062 Å, I = 89; 2.946 Å, I = 86; 2.212 Å, I = 33; 2.188 Å, I = 21; 2.156 Å, I = 53; 2.123 Å, I = 54; 1.769 Å, I = 30

Crystal structure
Cell lengths 6.124, 5.892, 13.999 Å; angles 90.00, 115.33, 90.00 degrees
Positions (direct):
Sr (0.130, 0.212, 0.127)
Sr (0.130, 0.788, 0.627)
Sr (0.350, 0.253, 0.900)
Sr (0.350, 0.747, 0.400)
Sr (0.650, 0.253, 0.600)
Sr (0.650, 0.747, 0.100)
Sr (0.870, 0.212, 0.373)
Sr (0.870, 0.788, 0.873)
P (0.366, 0.248, 0.367)
P (0.366, 0.752, 0.867)
P (0.634, 0.248, 0.133)
P (0.634, 0.752, 0.633)
F (0.028, 0.204, 0.581)
F (0.028, 0.796, 0.081)
F (0.972, 0.204, 0.919)
F (0.972, 0.796, 0.419)

3.
Calculated X-ray powder pattern
Compound: Cu2GeSe3
Radiation: Cu Kα X-rays
Structure: the PBE geometry in Alexandria
No peak broadening, texture or thermal motion is included.

Main lines, low angle first (2θ from 5° to 70°):
3.253 Å, I = 100; 2.160 Å, I = 1; 1.996 Å, I = 12; 1.991 Å, I = 60; 1.700 Å, I = 29; 1.697 Å, I = 14; 1.409 Å, I = 7; 1.407 Å, I = 4

Crystal structure
Cell lengths 13.205, 6.899, 12.595 Å; angles 79.44, 30.90, 69.66 degrees
Positions (direct):
Cu (0.000, 0.000, 0.000)
Cu (0.093, 0.412, 0.071)
Cu (0.179, 0.826, 0.157)
Cu (0.250, 0.250, 0.250)
Cu (0.412, 0.093, 0.424)
Cu (0.494, 0.494, 0.506)
Cu (0.744, 0.744, 0.756)
Cu (0.826, 0.179, 0.838)
Ge (0.346, 0.655, 0.319)
Ge (0.569, 0.931, 0.595)
Ge (0.655, 0.346, 0.681)
Ge (0.931, 0.569, 0.904)
Se (0.040, 0.200, 0.793)
Se (0.123, 0.630, 0.876)
Se (0.200, 0.040, 0.968)
Se (0.282, 0.457, 0.050)
Se (0.374, 0.880, 0.127)
Se (0.457, 0.282, 0.210)
Se (0.542, 0.714, 0.296)
Se (0.630, 0.123, 0.370)
Se (0.714, 0.542, 0.448)
Se (0.802, 0.954, 0.536)
Se (0.880, 0.374, 0.620)
Se (0.954, 0.802, 0.708)

4.
Calculated X-ray powder pattern
Compound: SmCd9Pt2
Radiation: Cu Kα X-rays
Structure: the PBE geometry in Alexandria
No peak broadening, texture or thermal motion is included.

Main lines, low angle first (2θ from 5° to 70°):
6.339 Å, I = 26; 2.986 Å, I = 45; 2.643 Å, I = 89; 2.622 Å, I = 56; 2.456 Å, I = 38; 2.265 Å, I = 33; 2.239 Å, I = 100; 2.152 Å, I = 57; 1.715 Å, I = 20; 1.518 Å, I = 26

Crystal structure
Cell lengths 9.108, 9.108, 9.108 Å; angles 99.85, 99.85, 131.13 degrees
Positions (direct):
Sm (0.375, 0.625, 0.750)
Sm (0.625, 0.375, 0.250)
Cd (0.125, 0.875, 0.250)
Cd (0.126, 0.557, 0.328)
Cd (0.126, 0.798, 0.569)
Cd (0.202, 0.271, 0.328)
Cd (0.202, 0.874, 0.931)
Cd (0.271, 0.202, 0.828)
Cd (0.271, 0.443, 0.069)
Cd (0.443, 0.271, 0.569)
Cd (0.443, 0.874, 0.172)
Cd (0.557, 0.126, 0.828)
Cd (0.557, 0.729, 0.431)
Cd (0.729, 0.557, 0.931)
Cd (0.729, 0.798, 0.172)
Cd (0.798, 0.126, 0.069)
Cd (0.798, 0.729, 0.672)
Cd (0.874, 0.202, 0.431)
Cd (0.874, 0.443, 0.672)
Cd (0.875, 0.125, 0.750)
Pt (0.000, 0.000, 0.000)
Pt (0.000, 0.000, 0.500)
Pt (0.000, 0.500, 0.000)
Pt (0.500, 0.000, 0.500)